No. 1
Diffraction record for BaCuO2. The powder diffraction line list is calculated, not measured: it uses a cell relaxed with GGA-PBE and Cu Kα X-rays.

Peak list (8 most intense, 2θ = 5–70°, by intensity)
Position (°2θ)	Rel. int.	h k l
29.3	100.0	1 1 1
36.6	72.7	1 3 1
44.0	43.2	2 4 0
31.1	31.8	2 0 0
30.4	30.8	0 4 0
48.2	30.1	0 0 2
67.4	22.4	2 4 2
58.9	19.3	3 3 1

a = 5.757 Å, b = 11.760 Å, c = 3.773 Å
α = 90.00°, β = 90.00°, γ = 90.00°
Space group Pbam (No. 55)
One atom of each set of equivalent atoms:
Ba1 0.001 0.138 0.000
Cu1 0.000 0.377 0.500
O1 0.229 0.500 0.500
O2 0.249 0.750 0.500

No. 2
Diffraction record for ErGaIr. The powder diffraction line list is calculated, not measured: it uses a cell relaxed with GGA-PBE and Cu Kα X-rays.

Peak list (8 most intense, 2θ = 5–70°, by intensity)
Position (°2θ)	Rel. int.	h k l
35.6	100.0	2 1 1
40.9	47.2	0 1 3
33.8	40.7	1 1 2
41.4	39.3	0 2 0
27.0	24.9	1 1 1
35.4	24.2	2 0 2
26.7	19.0	1 0 2
41.8	14.6	3 0 1

a = 6.755 Å, b = 4.363 Å, c = 7.684 Å
α = 90.00°, β = 90.00°, γ = 90.00°
Space group Pnma (No. 62)
One atom of each set of equivalent atoms:
Er1 0.016 0.250 0.193
Ga1 0.166 0.250 0.573
Ir1 0.226 0.750 0.396

No. 3
Diffraction record for Ho2B3O8. The powder diffraction line list is calculated, not measured: it uses a cell relaxed with GGA-PBE and Cu Kα X-rays.

Peak list (8 most intense, 2θ = 5–70°, by intensity)
Position (°2θ)	Rel. int.	h k l
29.5	100.0	1 1 2
20.0	86.0	0 0 2
35.6	73.2	3 1 2
21.5	71.8	1 1 0
29.2	68.8	3 1 0
34.4	67.8	4 0 2
27.7	52.2	4 0 0
31.9	50.6	2 1 2

a = 12.893 Å, b = 4.362 Å, c = 8.895 Å
α = 90.00°, β = 90.00°, γ = 90.00°
Space group Pbcn (No. 60)
One atom of each set of equivalent atoms:
Ho1 0.139 0.050 0.038
B1 0.000 0.437 0.750
B2 0.193 0.479 0.303
O1 0.004 0.222 0.878
O2 0.094 0.363 0.240
O3 0.189 0.463 0.465
O4 0.216 0.204 0.747

Q: Which formula does entry 2 have?
A: ErGaIr